Entry 1:
Simulated XRD peak list
Compound: CsCrCuI6
Radiation: Cu Ka
Structure: a DFT-relaxed cell (GGA-PBE, Alexandria)

Top 10 peaks for 10° ≤ 2θ ≤ 90°, most intense first:
| Position (°2θ) | I_rel | index |
| --- | --- | --- |
| 29.7 | 100 | 2 -1 1 |
| 26.3 | 100 | 1 1 1 |
| 26.5 | 83 | -1 1 2 |
| 25.4 | 78 | 1 -2 0 |
| 11.3 | 74 | 0 0 1 |
| 33.6 | 71 | 1 2 -1 |
| 27.1 | 65 | 2 0 -1 |
| 24.9 | 65 | 0 1 -2 |
| 34.5 | 45 | -1 2 2 |
| 24.0 | 44 | 1 0 -2 |

Cell and atoms:
Cell lengths 7.1115, 7.1463, 8.0245 Å; angles 92.80, 99.73, 108.41 degrees
Space group P1 (No. 1)
Unique sites:
1 Cs 0.0000 0.0000 0.0000 (multiplicity 1)
2 Cr 0.4541 0.5813 0.5068 (multiplicity 1)
3 Cu 0.8507 0.3053 0.4464 (multiplicity 1)
4 I 0.1122 0.5774 0.2860 (multiplicity 1)
5 I 0.1883 0.2513 0.6020 (multiplicity 1)
6 I 0.4274 0.8227 0.7630 (multiplicity 1)
7 I 0.5321 0.3591 0.2498 (multiplicity 1)
8 I 0.6842 0.9030 0.3628 (multiplicity 1)
9 I 0.7645 0.4997 0.7076 (multiplicity 1)


Entry 2:
Simulated XRD peak list
Compound: Rb4Br3F12
Radiation: Cu Ka
Structure: a DFT-relaxed cell (GGA-PBE, Alexandria)

Top 10 peaks for 10° ≤ 2θ ≤ 90°, most intense first:
| Position (°2θ) | I_rel | index |
| --- | --- | --- |
| 25.7 | 100 | 2 2 0 |
| 45.3 | 53 | 4 2 2 |
| 59.7 | 22 | 6 2 0 |
| 72.1 | 21 | 6 4 2 |
| 12.8 | 19 | 1 1 0 |
| 36.7 | 18 | 4 0 0 |
| 22.2 | 14 | 2 1 1 |
| 83.7 | 13 | 6 6 0 |
| 52.8 | 12 | 4 4 0 |
| 66.0 | 8 | 4 4 4 |

Cell and atoms:
Cell lengths 9.8007, 9.8007, 9.8007 Å; angles 90.00, 90.00, 90.00 degrees
Space group Im-3 (No. 204)
Unique sites:
1 Rb 0.2500 0.2500 0.2500 (multiplicity 8)
2 Br 0.0000 0.0000 0.5000 (multiplicity 6)
3 F 0.0000 0.1376 0.3480 (multiplicity 24)


Entry 3:
Simulated XRD peak list
Compound: PuCdAu4
Radiation: Cu Ka
Structure: a DFT-relaxed cell (GGA-PBE, Alexandria)

Top 10 peaks for 10° ≤ 2θ ≤ 90°, most intense first:
| Position (°2θ) | I_rel | index |
| --- | --- | --- |
| 34.7 | 100 | 1 0 2 |
| 37.9 | 94 | 1 1 0 |
| 52.4 | 31 | 2 0 2 |
| 66.4 | 31 | 2 1 2 |
| 69.0 | 30 | 1 1 4 |
| 68.5 | 17 | 3 0 0 |
| 47.1 | 15 | 1 1 2 |
| 81.1 | 11 | 2 2 0 |
| 26.8 | 11 | 0 0 2 |
| 55.3 | 10 | 0 0 4 |

Cell and atoms:
Cell lengths 4.7453, 4.7453, 6.6444 Å; angles 90.00, 90.00, 120.00 degrees
Space group P6/mmm (No. 191)
Unique sites:
1 Pu 0.0000 0.0000 0.0000 (multiplicity 1)
2 Cd 0.0000 0.0000 0.5000 (multiplicity 1)
3 Au 0.3333 0.6667 0.2644 (multiplicity 4)


Question: Number 2 is which compound?
Answer: Rb4Br3F12


Question: Which formula does entry 1 have?
Answer: CsCrCuI6